1.
Structure and computed PXRD pattern of Tb4CePm15 (a structure optimized by DFT (GGA-PBE); copper Kα).
No peak broadening, texture or thermal motion is included.

Largest 5 diffraction maxima, by angle, 5° ≤ 2θ ≤ 70°:
2theta, I/Imax
30.15, 100.0
34.96, 50.7
50.27, 36.2
59.75, 43.1
62.69, 12.4

Atomic structure:
a b c (Å): 5.1352 5.1352 25.6498
angles (deg): 90.00 90.00 90.00
Element x y z (fractional)
1 Tb 0.0000 0.0000 0.1001
2 Tb 0.0000 0.0000 0.3003
3 Tb 0.0000 0.0000 0.6997
4 Tb 0.0000 0.0000 0.8999
5 Ce 0.0000 0.0000 0.5000
6 Pm 0.0000 0.5000 0.0000
7 Pm 0.0000 0.5000 0.2002
8 Pm 0.0000 0.5000 0.4009
9 Pm 0.0000 0.5000 0.5991
10 Pm 0.0000 0.5000 0.7998
11 Pm 0.5000 0.0000 0.0000
12 Pm 0.5000 0.0000 0.2002
13 Pm 0.5000 0.0000 0.4009
14 Pm 0.5000 0.0000 0.5991
15 Pm 0.5000 0.0000 0.7998
16 Pm 0.5000 0.5000 0.0998
17 Pm 0.5000 0.5000 0.2990
18 Pm 0.5000 0.5000 0.5000
19 Pm 0.5000 0.5000 0.7010
20 Pm 0.5000 0.5000 0.9002



2.
Structure and computed PXRD pattern of RbZn2Bi2 (a structure optimized by DFT (GGA-PBE); copper Kα).
No peak broadening, texture or thermal motion is included.

Largest 10 diffraction maxima, by angle, 5° ≤ 2θ ≤ 70°:
2theta, I/Imax
15.38, 18.2
19.01, 15.7
25.85, 34.9
29.15, 100.0
35.14, 59.6
40.03, 45.1
46.24, 20.6
50.55, 21.3
59.42, 22.0
66.35, 20.6

Atomic structure:
a b c (Å): 5.1073 5.1073 11.5250
angles (deg): 90.00 90.00 90.00
Element x y z (fractional)
1 Rb 0.2500 0.2500 0.2415
2 Rb 0.7500 0.7500 0.7585
3 Zn 0.2500 0.2500 0.6312
4 Zn 0.2500 0.7500 0.0000
5 Zn 0.7500 0.2500 0.0000
6 Zn 0.7500 0.7500 0.3688
7 Bi 0.2500 0.2500 0.8758
8 Bi 0.2500 0.7500 0.5000
9 Bi 0.7500 0.2500 0.5000
10 Bi 0.7500 0.7500 0.1242



3.
Structure and computed PXRD pattern of Ti7CrPt2 (a structure optimized by DFT (GGA-PBE); copper Kα).
No peak broadening, texture or thermal motion is included.

Largest 9 diffraction maxima, by angle, 5° ≤ 2θ ≤ 70°:
2theta, I/Imax
19.98, 23.8
28.40, 100.0
34.96, 82.0
40.59, 74.1
45.64, 14.0
50.28, 42.1
58.76, 47.6
62.71, 7.6
66.52, 18.4

Atomic structure:
a b c (Å): 6.2859 6.2859 6.2859
angles (deg): 60.00 60.00 60.00
Element x y z (fractional)
1 Ti 0.0000 0.0000 0.0000
2 Ti 0.2542 0.2542 0.7458
3 Ti 0.2542 0.7458 0.2542
4 Ti 0.2542 0.7458 0.7458
5 Ti 0.7458 0.2542 0.2542
6 Ti 0.7458 0.2542 0.7458
7 Ti 0.7458 0.7458 0.2542
8 Cr 0.5000 0.5000 0.5000
9 Pt 0.2500 0.2500 0.2500
10 Pt 0.7500 0.7500 0.7500



4.
Structure and computed PXRD pattern of Er3Co8Sn4 (a structure optimized by DFT (GGA-PBE); copper Kα).
No peak broadening, texture or thermal motion is included.

Largest 10 diffraction maxima, by angle, 5° ≤ 2θ ≤ 70°:
2theta, I/Imax
26.13, 17.1
33.14, 39.8
33.62, 100.0
37.15, 48.2
38.29, 33.8
39.43, 26.8
40.68, 86.0
42.94, 17.5
43.58, 18.0
65.02, 36.9

Atomic structure:
a b c (Å): 8.8711 8.8711 7.4066
angles (deg): 90.00 90.00 120.00
Element x y z (fractional)
1 Er 0.0608 0.5304 0.0000
2 Er 0.4696 0.5304 0.0000
3 Er 0.4696 0.9392 0.0000
4 Er 0.5304 0.0608 0.5000
5 Er 0.5304 0.4696 0.5000
6 Er 0.9392 0.4696 0.5000
7 Co 0.0000 0.0000 0.2781
8 Co 0.0000 0.0000 0.7781
9 Co 0.0984 0.1968 0.0232
10 Co 0.0984 0.9016 0.0232
11 Co 0.1598 0.3195 0.3306
12 Co 0.1598 0.8402 0.3306
13 Co 0.1968 0.0984 0.5232
14 Co 0.3195 0.1598 0.8306
15 Co 0.3333 0.6667 0.7201
16 Co 0.6667 0.3333 0.2201
17 Co 0.6805 0.8402 0.3306
18 Co 0.8032 0.9016 0.0232
19 Co 0.8402 0.1598 0.8306
20 Co 0.8402 0.6805 0.8306
21 Co 0.9016 0.0984 0.5232
22 Co 0.9016 0.8032 0.5232
23 Sn 0.1719 0.3438 0.7023
24 Sn 0.1719 0.8281 0.7023
25 Sn 0.3333 0.6667 0.3370
26 Sn 0.3438 0.1719 0.2023
27 Sn 0.6562 0.8281 0.7023
28 Sn 0.6667 0.3333 0.8370
29 Sn 0.8281 0.1719 0.2023
30 Sn 0.8281 0.6562 0.2023



5.
Structure and computed PXRD pattern of Ac5ErBi6 (a structure optimized by DFT (GGA-PBE); copper Kα).
No peak broadening, texture or thermal motion is included.

Largest 6 diffraction maxima, by angle, 5° ≤ 2θ ≤ 70°:
2theta, I/Imax
26.18, 100.0
37.36, 79.6
46.19, 29.2
53.87, 13.9
60.86, 38.4
67.39, 28.2

Atomic structure:
a b c (Å): 8.3390 8.3390 8.3397
angles (deg): 99.63 99.63 120.01
Element x y z (fractional)
1 Ac 0.0000 0.0000 0.0000
2 Ac 0.1650 0.8350 0.5000
3 Ac 0.3292 0.6708 0.0000
4 Ac 0.6708 0.3292 0.0000
5 Ac 0.8350 0.1650 0.5000
6 Er 0.5000 0.5000 0.5000
7 Bi 0.1006 0.4207 0.2599
8 Bi 0.2627 0.2627 0.7447
9 Bi 0.4207 0.1006 0.2599
10 Bi 0.5793 0.8994 0.7401
11 Bi 0.7373 0.7373 0.2553
12 Bi 0.8994 0.5793 0.7401



6.
Structure and computed PXRD pattern of Ti2Si3 (a structure optimized by DFT (GGA-PBE); copper Kα).
No peak broadening, texture or thermal motion is included.

Largest 10 diffraction maxima, by angle, 5° ≤ 2θ ≤ 70°:
2theta, I/Imax
29.54, 9.3
29.79, 24.4
39.20, 57.3
39.39, 100.0
41.57, 15.7
41.94, 18.8
51.69, 18.9
52.57, 29.6
53.04, 10.7
67.90, 10.4

Atomic structure:
a b c (Å): 7.0057 6.9637 4.9433
angles (deg): 69.73 68.82 41.45
Element x y z (fractional)
1 Ti 0.2206 0.7794 0.2206
2 Ti 0.2500 0.2500 0.2500
3 Ti 0.7500 0.7500 0.7500
4 Ti 0.7794 0.2206 0.7794
5 Si 0.1872 0.1872 0.8128
6 Si 0.2094 0.5976 0.7906
7 Si 0.4024 0.7906 0.5976
8 Si 0.5976 0.2094 0.4024
9 Si 0.7906 0.4024 0.2094
10 Si 0.8128 0.8128 0.1872



7.
Structure and computed PXRD pattern of Er3TmRh3 (a structure optimized by DFT (GGA-PBE); copper Kα).
No peak broadening, texture or thermal motion is included.

Largest 10 diffraction maxima, by angle, 5° ≤ 2θ ≤ 70°:
2theta, I/Imax
12.90, 11.3
25.98, 16.1
36.93, 26.4
37.20, 26.1
37.76, 100.0
53.42, 18.2
67.10, 18.1
67.44, 18.1
68.56, 8.6
68.72, 8.6

Atomic structure:
a b c (Å): 6.8602 6.8602 6.6220
angles (deg): 90.00 90.00 90.39
Element x y z (fractional)
1 Er 0.2459 0.2459 0.0000
2 Er 0.2455 0.7545 0.0000
3 Er 0.2489 0.2489 0.5000
4 Er 0.7511 0.7511 0.5000
5 Er 0.7545 0.2455 0.0000
6 Er 0.7541 0.7541 0.0000
7 Tm 0.2421 0.7579 0.5000
8 Tm 0.7579 0.2421 0.5000
9 Rh 0.0000 0.0000 0.2503
10 Rh 0.0000 0.0000 0.7497
11 Rh 0.0000 0.5000 0.2508
12 Rh 0.0000 0.5000 0.7492
13 Rh 0.5000 0.0000 0.2508
14 Rh 0.5000 0.0000 0.7492



8.
Structure and computed PXRD pattern of La8HN6 (a structure optimized by DFT (GGA-PBE); copper Kα).
No peak broadening, texture or thermal motion is included.

Largest 10 diffraction maxima, by angle, 5° ≤ 2θ ≤ 70°:
2theta, I/Imax
10.29, 55.4
29.91, 98.9
31.22, 100.0
31.71, 34.6
36.64, 31.8
43.79, 34.3
48.68, 13.8
52.46, 28.4
54.75, 23.3
58.98, 32.6

Atomic structure:
a b c (Å): 9.9236 9.9236 3.7409
angles (deg): 90.00 90.00 120.00
Element x y z (fractional)
1 La 0.0360 0.6744 0.2472
2 La 0.3256 0.3616 0.2472
3 La 0.3333 0.6667 0.7492
4 La 0.3616 0.0360 0.7528
5 La 0.6384 0.9640 0.2472
6 La 0.6667 0.3333 0.2508
7 La 0.6744 0.6384 0.7528
8 La 0.9640 0.3256 0.7528
9 H 0.0000 0.0000 0.0000
10 N 0.1327 0.4791 0.2532
11 N 0.3464 0.8673 0.2532
12 N 0.4791 0.3464 0.7468
13 N 0.5209 0.6536 0.2532
14 N 0.6536 0.1327 0.7468
15 N 0.8673 0.5209 0.7468



9.
Structure and computed PXRD pattern of Ba4TlSn3O12 (a structure optimized by DFT (GGA-PBE); copper Kα).
No peak broadening, texture or thermal motion is included.

Largest 10 diffraction maxima, by angle, 5° ≤ 2θ ≤ 70°:
2theta, I/Imax
14.72, 2.5
20.87, 1.3
25.64, 1.5
29.69, 100.0
33.29, 1.0
39.62, 1.2
42.48, 29.6
52.68, 41.5
61.64, 18.9
69.89, 18.6

Atomic structure:
a b c (Å): 7.3715 7.3715 7.3715
angles (deg): 109.47 109.47 109.47
Element x y z (fractional)
1 Ba 0.0000 0.0000 0.5000
2 Ba 0.0000 0.5000 0.0000
3 Ba 0.5000 0.0000 0.0000
4 Ba 0.5000 0.5000 0.5000
5 Tl 0.0000 0.0000 0.0000
6 Sn 0.0000 0.5000 0.5000
7 Sn 0.5000 0.0000 0.5000
8 Sn 0.5000 0.5000 0.0000
9 O 0.0000 0.2619 0.2619
10 O 0.0000 0.7382 0.7382
11 O 0.2500 0.5000 0.7500
12 O 0.2500 0.7500 0.5000
13 O 0.2619 0.0000 0.2619
14 O 0.2619 0.2619 0.0000
15 O 0.5000 0.2500 0.7500
16 O 0.5000 0.7500 0.2500
17 O 0.7382 0.0000 0.7382
18 O 0.7382 0.7382 0.0000
19 O 0.7500 0.2500 0.5000
20 O 0.7500 0.5000 0.2500



10.
Structure and computed PXRD pattern of La4Tb2PmTm2 (a structure optimized by DFT (GGA-PBE); copper Kα).
No peak broadening, texture or thermal motion is included.

Largest 10 diffraction maxima, by angle, 5° ≤ 2θ ≤ 70°:
2theta, I/Imax
30.01, 100.0
30.16, 98.7
34.75, 34.0
34.89, 33.5
34.99, 33.2
50.09, 60.2
59.44, 43.2
59.61, 14.2
59.74, 14.2
59.87, 14.1

Atomic structure:
a b c (Å): 8.1363 8.1363 8.0948
angles (deg): 107.14 107.14 37.00
Element x y z (fractional)
1 La 0.0539 0.0539 0.3293
2 La 0.2759 0.2759 0.6687
3 La 0.7241 0.7241 0.3313
4 La 0.9461 0.9461 0.6707
5 Tb 0.3880 0.3880 0.3292
6 Tb 0.6120 0.6120 0.6708
7 Pm 0.5000 0.5000 0.0000
8 Tm 0.1687 0.1687 0.9994
9 Tm 0.8313 0.8313 0.0006



11.
Structure and computed PXRD pattern of PmDy3In2 (a structure optimized by DFT (GGA-PBE); copper Kα).
No peak broadening, texture or thermal motion is included.

Largest 10 diffraction maxima, by angle, 5° ≤ 2θ ≤ 70°:
2theta, I/Imax
28.16, 12.4
31.55, 29.0
32.15, 100.0
32.86, 61.4
34.25, 41.3
38.23, 13.7
47.68, 17.2
58.24, 16.7
60.01, 12.4
60.64, 15.6

Atomic structure:
a b c (Å): 5.2362 9.8608 6.7478
angles (deg): 90.00 90.00 90.00
Element x y z (fractional)
1 Pm 0.0000 0.0371 0.0000
2 Pm 0.0000 0.9629 0.5000
3 Dy 0.0000 0.3223 0.6513
4 Dy 0.0000 0.6777 0.1513
5 Dy 0.5000 0.1836 0.2780
6 Dy 0.5000 0.4607 0.9322
7 Dy 0.5000 0.5393 0.4322
8 Dy 0.5000 0.8164 0.7780
9 In 0.0000 0.3583 0.1780
10 In 0.0000 0.6417 0.6780
11 In 0.5000 0.1455 0.7497
12 In 0.5000 0.8545 0.2497



12.
Structure and computed PXRD pattern of LiAlSi2HO7 (a structure optimized by DFT (GGA-PBE); copper Kα).
No peak broadening, texture or thermal motion is included.

Largest 10 diffraction maxima, by angle, 5° ≤ 2θ ≤ 70°:
2theta, I/Imax
11.11, 39.9
12.99, 40.1
20.41, 20.3
20.91, 47.2
21.15, 100.0
26.10, 78.7
26.22, 63.6
26.93, 22.7
27.28, 34.3
28.51, 15.8

Atomic structure:
a b c (Å): 4.9833 7.5379 8.7936
angles (deg): 115.05 90.26 90.96
Element x y z (fractional)
1 Li 0.0000 0.0000 0.0000
2 Li 0.4754 0.6681 0.3639
3 Al 0.0106 0.9167 0.3069
4 Al 0.4810 0.9415 0.7876
5 Si 0.4579 0.3648 0.7952
6 Si 0.5093 0.7906 0.0692
7 Si 0.9546 0.3515 0.5830
8 Si 0.9744 0.7625 0.5830
9 H 0.2451 0.2806 0.0283
10 H 0.2603 0.2949 0.3247
11 O 0.0726 0.1703 0.4214
12 O 0.1242 0.3132 0.1284
13 O 0.1781 0.4256 0.7345
14 O 0.3011 0.7964 0.5999
15 O 0.3202 0.8046 0.2256
16 O 0.3307 0.3698 0.2622
17 O 0.3682 0.8905 0.9563
18 O 0.4047 0.1900 0.8539
19 O 0.5713 0.5586 0.9538
20 O 0.6753 0.2871 0.6436
21 O 0.8013 0.8971 0.1380
22 O 0.8305 0.9027 0.7614
23 O 0.8596 0.8030 0.4259
24 O 0.8887 0.5340 0.5361